Calculated powder X-ray diffraction pattern of Lu2Si5Ru3 for λ = 1.5418 Å (Cu Kα), from the PBE geometry in the Materials Project.
Intensities are scaled so that the largest is 100.

Cell and atoms:
Cell lengths 10.6777, 10.6777, 5.5607 Å; angles 90.00, 90.00, 90.00 degrees
Space group P4/mnc (No. 128)
Asymmetric unit:
Lu (0.0707, 0.2365, 0.0000)
Si (0.0000, 0.0000, 0.2436)
Si (0.0261, 0.3192, 0.5000)
Si (0.1746, 0.6746, 0.2500)
Ru (0.0000, 0.5000, 0.2500)
Ru (0.1252, 0.8560, 0.5000)

Peak list (10 most intense, 2θ = 10–90°, by angle)
2theta, Rel. int., h k l
26.4, 38, 3 1 0
31.0, 100, 3 1 1
32.2, 31, 0 0 2
34.3, 30, 1 1 2
34.6, 28, 4 1 0
37.4, 25, 2 1 2
37.7, 38, 4 2 0
38.3, 73, 4 1 1
40.3, 62, 2 2 2
48.8, 31, 3 3 2